Entry 1:
Ba2SbN3: computed XRD peak list (Cu Kα, 1.54184 Å), based on a crystal structure in the Materials Project, relaxed with PBE.
No peak broadening, texture or thermal motion is included.

Cell lengths 6.189, 12.226, 13.224 Å; angles 90.00, 90.03, 90.00 degrees
Space group C2/c (No. 15)
Asymmetric unit:
1 Ba 0.250 0.115 0.077 x8
2 Ba 0.250 0.203 0.643 x8
3 Sb 0.250 0.004 0.837 x8
4 N 0.000 0.056 0.250 x4
5 N 0.000 0.445 0.750 x4
6 N 0.249 0.167 0.858 x8
7 N 0.250 0.095 0.458 x8

Largest 8 diffraction maxima, in order of falling intensity, 10° ≤ 2θ ≤ 90°:
hkl	two_theta	intensity
1 3 2	29.52	100
2 0 0	28.85	67
0 0 4	27.02	64
1 1 4	31.54	38
0 4 6	51.10	25
4 0 0	59.75	25
1 1 -3	25.86	24
2 0 -4	39.90	22

***

Entry 2:
Ba3ScN3: computed XRD peak list (Cu Kα, 1.54184 Å), based on a crystal structure in the Materials Project, relaxed with PBE.
No peak broadening, texture or thermal motion is included.

Cell lengths 8.5520, 8.5520, 5.6765 Å; angles 90.00, 90.00, 120.00 degrees
Space group P6_3/m (No. 176)
Asymmetric unit:
1 Ba 0.0685 0.3517 0.2500 x6
2 Sc 0.3333 0.6667 0.7500 x2
3 N 0.1193 0.4067 0.7500 x6

Largest 8 diffraction maxima, in order of falling intensity, 10° ≤ 2θ ≤ 90°:
hkl	two_theta	intensity
1 1 1	26.09	100
2 0 1	28.78	40
0 0 2	31.52	34
1 2 0	31.97	34
1 1 0	20.77	24
1 2 2	45.51	24
3 0 0	36.39	24
3 0 2	48.90	20

***

Entry 3:
Ba7SiN6: computed XRD peak list (Cu Kα, 1.54184 Å), based on a crystal structure in the Materials Project, relaxed with PBE.
No peak broadening, texture or thermal motion is included.

Cell lengths 12.507, 7.013, 14.394 Å; angles 90.00, 90.00, 90.00 degrees
Space group Pbcn (No. 60)
Asymmetric unit:
1 Ba 0.000 0.068 0.250 x4
2 Ba 0.039 0.244 0.517 x8
3 Ba 0.211 0.396 0.133 x8
4 Ba 0.217 0.356 0.874 x8
5 Si 0.000 0.414 0.750 x4
6 N 0.038 0.439 0.348 x8
7 N 0.111 0.263 0.713 x8
8 N 0.163 0.109 0.004 x8

Largest 8 diffraction maxima, in order of falling intensity, 10° ≤ 2θ ≤ 90°:
hkl	two_theta	intensity
2 0 4	28.60	100
4 1 1	31.95	34
1 2 1	27.13	28
1 2 3	32.43	26
2 2 2	31.79	19
3 1 0	24.85	15
6 1 3	49.41	14
0 2 2	28.31	14